Structure and computed X-ray diffraction stick pattern of Na3FeBAsO7 (DFT lattice parameters and positions (GGA+U); CuKα).
Intensities are scaled so that the largest is 1000.

Crystal structure
```
data_Na3FeBAsO7
_chemical_formula_sum 'Na6 Fe2 B2 As2 O14'
_cell_length_a 5.3636
_cell_length_b 6.8443
_cell_length_c 9.0984
_cell_angle_alpha 90.00
_cell_angle_beta 91.64
_cell_angle_gamma 90.00
_symmetry_space_group_name_H-M 'P 1'
_symmetry_Int_Tables_number 1
_symmetry_space_group_name_Hall 'P 1'
loop_
_atom_site_label
_atom_site_type_symbol
_atom_site_fract_x
_atom_site_fract_y
_atom_site_fract_z
Na1 Na 0.2434 0.2500 0.0748
Na2 Na 0.2450 0.0022 0.7592
Na3 Na 0.2450 0.4978 0.7592
Na4 Na 0.7550 0.5022 0.2408
Na5 Na 0.7550 0.9978 0.2408
Na6 Na 0.7566 0.7500 0.9252
Fe1 Fe 0.2231 0.7500 0.3299
Fe2 Fe 0.7769 0.2500 0.6701
B1 B 0.2739 0.7500 0.0625
B2 B 0.7261 0.2500 0.9375
As1 As 0.2839 0.2500 0.4249
As2 As 0.7161 0.7500 0.5751
O1 O 0.0391 0.7500 0.1279
O2 O 0.1278 0.2500 0.5864
O3 O 0.2109 0.0542 0.3132
O4 O 0.2109 0.4458 0.3132
O5 O 0.3104 0.7500 0.9166
O6 O 0.3991 0.7500 0.5320
O7 O 0.4705 0.7500 0.1697
O8 O 0.5295 0.2500 0.8303
O9 O 0.6009 0.2500 0.4680
O10 O 0.6896 0.2500 0.0834
O11 O 0.7891 0.5542 0.6868
O12 O 0.7891 0.9458 0.6868
O13 O 0.8722 0.7500 0.4136
O14 O 0.9609 0.2500 0.8721
```

Main lines, by angle (2θ = 15–90°):
18.97°, I = 352, hkl 1 0 -1; 23.44°, I = 356, hkl 1 1 1; 25.32°, I = 465, hkl 1 0 -2; 26.04°, I = 1000, hkl 0 2 0; 29.19°, I = 339, hkl 1 1 2; 32.42°, I = 461, hkl 1 2 -1; 32.74°, I = 703, hkl 0 2 2; 33.43°, I = 598, hkl 2 0 0